Structure and simulated powder XRD pattern of BeCu4 (a structure optimized by DFT (GGA-PBE); Cu Kα (weighted mean of Kα1 and Kα2)).
Intensities are scaled so that the largest is 100.

Most intense lines, 15 to 90 degrees two-theta, sorted by position:
Position (°2θ), intensity, index
22.70, 12, 1 1 0
29.26, 14, 1 0 1
32.33, 8, 2 0 0
44.16, 100, 2 1 1
49.87, 16, 0 0 2
52.22, 29, 1 3 0
65.95, 3, 2 3 1
75.10, 18, 1 3 2
76.99, 8, 4 2 0
89.63, 11, 2 1 3

Structure:
Lattice parameters (Å, degrees): 5.539 5.539 3.657 90.00 90.00 90.00
Space group I4/m (No. 87)
Unique sites:
Be 0.000 0.000 0.000
Cu 0.106 0.298 0.500

=====

Structure and simulated powder XRD pattern of Be8Cu3 (a structure optimized by DFT (GGA-PBE); Cu Kα (weighted mean of Kα1 and Kα2)).
Intensities are scaled so that the largest is 100.

Most intense lines, 15 to 90 degrees two-theta, sorted by position:
Position (°2θ), intensity, index
18.23, 27, 1 0 1
28.14, 18, 0 1 2
29.88, 100, 0 2 1
36.95, 74, 2 0 2
37.23, 19, 0 0 3
38.34, 16, 2 1 1
48.00, 31, 2 2 0
57.57, 17, 4 0 1
58.17, 15, 0 2 4
62.27, 31, 4 -2 3

Structure:
Lattice parameters (Å, degrees): 7.5819 7.5819 7.2445 90.00 90.00 120.00
Space group R-3 (No. 148, hexagonal axes)
Unique sites:
Be 0.0000 0.0000 0.1401
Be 0.0792 0.8934 0.3756
Cu 0.0000 0.5000 0.5000

=====

Structure and simulated powder XRD pattern of Be3Cu (a structure optimized by DFT (GGA-PBE); Cu Kα (weighted mean of Kα1 and Kα2)).
Intensities are scaled so that the largest is 100.

Most intense lines, 15 to 90 degrees two-theta, sorted by position:
Position (°2θ), intensity, index
17.67, 38, 0 0 1
25.22, 83, 0 1 0
28.12, 82, 1 0 1
30.96, 27, 0 1 1
38.13, 100, 1 1 1
42.23, 39, 1 0 2
44.26, 39, 2 0 0
49.82, 66, 1 1 2
51.61, 32, 2 1 0
51.78, 21, 0 2 0

Structure:
Lattice parameters (Å, degrees): 4.094 3.531 5.021 90.00 90.00 90.00
Space group Pmma (No. 51)
Unique sites:
Be 0.000 0.000 0.000
Be 0.250 0.000 0.378
Be 0.250 0.500 0.124
Cu 0.250 0.500 0.664

=====

Structure and simulated powder XRD pattern of Be5Cu3 (a structure optimized by DFT (GGA-PBE); Cu Kα (weighted mean of Kα1 and Kα2)).
Intensities are scaled so that the largest is 100.

Most intense lines, 15 to 90 degrees two-theta, sorted by position:
Position (°2θ), intensity, index
16.81, 18, 0 0 2
25.33, 64, 0 0 3
34.79, 100, 1 0 1
37.89, 19, 1 0 2
48.41, 47, 1 1 0
48.62, 92, 1 0 4
55.41, 28, 1 1 3
70.88, 14, 2 0 0
72.03, 13, 1 0 7
81.45, 15, 2 1 1

Structure:
Lattice parameters (Å, degrees): 2.659 2.659 10.550 90.00 90.00 90.00
Space group P4/mmm (No. 123)
Unique sites:
Be 0.000 0.000 0.000
Be 0.000 0.000 0.256
Be 0.500 0.500 0.372
Cu 0.000 0.000 0.500
Cu 0.500 0.500 0.131

=====

Structure and simulated powder XRD pattern of Be4Cu (a structure optimized by DFT (GGA-PBE); Cu Kα (weighted mean of Kα1 and Kα2)).
Intensities are scaled so that the largest is 100.

Most intense lines, 15 to 90 degrees two-theta, sorted by position:
Position (°2θ), intensity, index
24.39, 98, 1 1 0
32.35, 100, 1 0 1
34.77, 43, 2 0 0
48.22, 99, 1 2 1
49.99, 14, 2 2 0
56.38, 30, 3 1 0
60.81, 14, 3 0 1
62.07, 13, 1 1 2
71.99, 17, 3 2 1
83.61, 18, 3 1 2

Structure:
Lattice parameters (Å, degrees): 5.160 5.160 3.278 90.00 90.00 90.00
Space group I4/m (No. 87)
Unique sites:
Be 0.095 0.695 0.000
Cu 0.000 0.000 0.500

=====

Structure and simulated powder XRD pattern of Be4Cu5 (a structure optimized by DFT (GGA-PBE); Cu Kα (weighted mean of Kα1 and Kα2)).
Intensities are scaled so that the largest is 100.

Most intense lines, 15 to 90 degrees two-theta, sorted by position:
Position (°2θ), intensity, index
15.36, 15, 1 0 0
31.00, 27, 2 0 0
32.84, 100, 1 1 1
41.10, 19, 1 0 2
41.41, 17, 2 1 0
45.79, 21, 2 1 1
46.99, 92, 1 1 2
47.26, 80, 3 0 0
68.85, 24, 2 2 2
87.74, 19, 4 1 2

Structure:
Lattice parameters (Å, degrees): 6.6619 6.6619 4.7501 90.00 90.00 120.00
Space group P6_3/mcm (No. 193)
Unique sites:
Be 0.0000 0.0000 0.0000
Be 0.0000 0.3689 0.2500
Cu 0.0000 0.2946 0.7500
Cu 0.3333 0.6667 0.0000

=====

Structure and simulated powder XRD pattern of Be3Cu7 (a structure optimized by DFT (GGA-PBE); Cu Kα (weighted mean of Kα1 and Kα2)).
Intensities are scaled so that the largest is 100.

Most intense lines, 15 to 90 degrees two-theta, sorted by position:
Position (°2θ), intensity, index
24.88, 24, 1 1 0
27.16, 20, 2 0 1
32.63, 22, 1 1 1
35.18, 44, 3 1 -1
44.54, 73, 1 1 -2
45.47, 100, 5 1 0
46.54, 31, 3 1 -2
48.01, 20, 1 1 2
48.46, 49, 0 2 0
52.69, 23, 6 0 -2

Structure:
Lattice parameters (Å, degrees): 12.168 3.757 4.847 90.00 104.72 90.00
Space group C2/m (No. 12)
Unique sites:
Be 0.000 0.000 0.000
Be 0.193 0.000 0.660
Cu 0.000 0.000 0.500
Cu 0.088 0.500 0.858
Cu 0.121 0.500 0.380
Cu 0.205 0.000 0.151

=====

Structure and simulated powder XRD pattern of Be3Cu5 (a structure optimized by DFT (GGA-PBE); Cu Kα (weighted mean of Kα1 and Kα2)).
Intensities are scaled so that the largest is 100.

Most intense lines, 15 to 90 degrees two-theta, sorted by position:
Position (°2θ), intensity, index
27.49, 19, 1 1 0
31.85, 43, 2 0 0
33.82, 62, 1 1 1
42.53, 100, 2 1 0
47.14, 81, 2 1 1
48.57, 95, 1 1 2
71.14, 20, 2 2 2
76.74, 28, 2 1 3
77.90, 18, 4 1 0
80.06, 23, 4 0 2

Structure:
Lattice parameters (Å, degrees): 6.4893 6.4893 4.5953 90.00 90.00 120.00
Space group P6_3/mcm (No. 193)
Unique sites:
Be 0.0000 0.4043 0.2500
Cu 0.0000 0.2401 0.7500
Cu 0.3333 0.6667 0.0000